Diffraction record for ScH8N3F6. The X-ray powder pattern is simulated, not measured: it uses a crystal structure in the Materials Project, relaxed with GGA-PBE and Cu Kα, 1.54184 Å.

Structural model:
```
ScH8N3F6
1.0
6.5215 0.0000 0.0000
0.0000 6.5193 0.0000
-6.4408 0.0000 9.5007
Sc H N F
2 16 6 12
Direct
0.0000 0.0000 0.0000
0.0000 0.5000 0.5000
0.1080 0.0748 0.6632
0.1080 0.4252 0.1632
0.2147 0.6664 0.2285
0.2147 0.8336 0.7285
0.2513 0.0295 0.8372
0.2513 0.4705 0.3372
0.4180 0.0208 0.7651
0.4180 0.4792 0.2651
0.5820 0.5208 0.7349
0.5820 0.9792 0.2349
0.7487 0.5295 0.6628
0.7487 0.9705 0.1628
0.7853 0.1664 0.2715
0.7853 0.3336 0.7715
0.8920 0.5748 0.8368
0.8920 0.9252 0.3368
0.2472 0.5106 0.2488
0.2472 0.9894 0.7488
0.5000 0.0000 0.5000
0.5000 0.5000 0.0000
0.7528 0.0106 0.2512
0.7528 0.4894 0.7512
0.1012 0.7354 0.9529
0.1012 0.7646 0.4529
0.2349 0.1545 0.9672
0.2349 0.3455 0.4672
0.2807 0.5459 0.7060
0.2807 0.9541 0.2060
0.7193 0.0459 0.7940
0.7193 0.4541 0.2940
0.7651 0.6545 0.5328
0.7651 0.8455 0.0328
0.8988 0.2354 0.5471
0.8988 0.2646 0.0471
```

The 8 most intense peaks (2θ from 10° to 90°), by intensity:
two_theta, intensity
16.5, 100
16.6, 32
19.3, 31
39.1, 31
27.4, 26
37.9, 22
18.7, 21
27.0, 21



Diffraction record for SiH6N2F4. The X-ray powder pattern is simulated, not measured: it uses a crystal structure in the Materials Project, relaxed with GGA-PBE and Cu Kα, 1.54184 Å.

Structural model:
```
SiH6N2F4
1.0
5.1186 0.0000 0.0000
0.0000 7.2194 0.0000
-0.2546 0.0000 6.8949
Si H N F
2 12 4 8
Direct
0.0000 0.0000 0.0000
0.0000 0.5000 0.5000
0.1787 0.0687 0.3299
0.1787 0.4313 0.8299
0.1995 0.6589 0.7897
0.1995 0.8411 0.2897
0.4151 0.5137 0.6966
0.4151 0.9863 0.1966
0.5849 0.0137 0.8034
0.5849 0.4863 0.3034
0.8005 0.1589 0.7103
0.8005 0.3411 0.2103
0.8213 0.5687 0.1701
0.8213 0.9313 0.6701
0.2211 0.5303 0.7281
0.2211 0.9697 0.2281
0.7789 0.0303 0.7719
0.7789 0.4697 0.2719
0.1091 0.2222 0.9834
0.1091 0.2778 0.4834
0.2479 0.5751 0.3582
0.2479 0.9249 0.8582
0.7521 0.0751 0.1418
0.7521 0.4249 0.6418
0.8909 0.7222 0.5166
0.8909 0.7778 0.0166
```

The 8 most intense peaks (2θ from 10° to 90°), by intensity:
two_theta, intensity
17.8, 100
17.3, 60
24.6, 29
31.8, 25
41.5, 13
45.6, 11
33.2, 10
25.3, 8



Diffraction record for SiH12N4F4. The X-ray powder pattern is simulated, not measured: it uses a crystal structure in the Materials Project, relaxed with GGA-PBE and Cu Kα, 1.54184 Å.

Structural model:
```
SiH12N4F4
1.0
3.6177 -4.0901 0.0000
3.6177 4.0901 0.0000
0.0000 0.0000 13.6800
Si H N F
2 24 8 8
Direct
0.0000 0.0000 0.0000
0.5000 0.5000 0.5000
0.0634 0.1617 0.3155
0.1274 0.6438 0.4287
0.1438 0.6274 0.9287
0.1534 0.8466 0.8413
0.1617 0.0634 0.6845
0.2201 0.7799 0.6691
0.2799 0.7201 0.1691
0.3383 0.4366 0.1845
0.3466 0.6534 0.3413
0.3562 0.8726 0.4287
0.3726 0.8562 0.9287
0.4366 0.3383 0.8155
0.5634 0.6617 0.1845
0.6274 0.1438 0.0713
0.6438 0.1274 0.5713
0.6534 0.3466 0.6587
0.6617 0.5634 0.8155
0.7201 0.2799 0.8309
0.7799 0.2201 0.3309
0.8383 0.9366 0.3155
0.8466 0.1534 0.1587
0.8562 0.3726 0.0713
0.8726 0.3562 0.5713
0.9366 0.8383 0.6845
0.1132 0.8868 0.7079
0.1856 0.8144 0.9166
0.3144 0.6856 0.4166
0.3868 0.6132 0.2079
0.6132 0.3868 0.7921
0.6856 0.3144 0.5834
0.8144 0.1856 0.0834
0.8868 0.1132 0.2921
0.0801 0.2563 0.9280
0.2437 0.4199 0.5720
0.2563 0.0801 0.0720
0.4199 0.2437 0.4280
0.5801 0.7563 0.5720
0.7437 0.9199 0.9280
0.7563 0.5801 0.4280
0.9199 0.7437 0.0720
```

The 8 most intense peaks (2θ from 10° to 90°), by intensity:
two_theta, intensity
17.6, 100
12.9, 54
25.5, 30
29.3, 17
33.7, 15
48.8, 11
37.6, 9
24.6, 8



Diffraction record for SiH8N2F6. The X-ray powder pattern is simulated, not measured: it uses a crystal structure in the Materials Project, relaxed with GGA-PBE and Cu Kα, 1.54184 Å.

Structural model:
```
SiH8N2F6
1.0
5.9389 0.0000 0.0000
-2.9695 5.1433 0.0000
0.0000 0.0000 9.6209
Si H N F
2 16 4 12
Direct
0.3333 0.6667 0.0000
0.6667 0.3333 0.5000
0.0000 0.0000 0.4401
0.0000 0.0000 0.9401
0.0946 0.1892 0.2983
0.0946 0.9054 0.2983
0.1444 0.5722 0.6566
0.1892 0.0946 0.7983
0.3333 0.6667 0.5148
0.4278 0.5722 0.6566
0.4278 0.8556 0.6566
0.5722 0.1444 0.1566
0.5722 0.4278 0.1566
0.6667 0.3333 0.0148
0.8108 0.9054 0.2983
0.8556 0.4278 0.1566
0.9054 0.0946 0.7983
0.9054 0.8108 0.7983
0.0000 0.0000 0.3331
0.0000 0.0000 0.8331
0.3333 0.6667 0.6216
0.6667 0.3333 0.1216
0.0597 0.5298 0.8979
0.1964 0.3927 0.1045
0.1964 0.8036 0.1045
0.3927 0.1964 0.6045
0.4702 0.5298 0.8979
0.4702 0.9403 0.8979
0.5298 0.0597 0.3979
0.5298 0.4702 0.3979
0.6073 0.8036 0.1045
0.8036 0.1964 0.6045
0.8036 0.6073 0.6045
0.9403 0.4702 0.3979
```

The 8 most intense peaks (2θ from 10° to 90°), by intensity:
two_theta, intensity
19.6, 100
39.7, 61
17.2, 26
18.4, 25
25.4, 25
45.2, 21
36.2, 17
61.3, 13



Diffraction record for SiH7N2F5. The X-ray powder pattern is simulated, not measured: it uses a crystal structure in the Materials Project, relaxed with GGA-PBE and Cu Kα, 1.54184 Å.

Structural model:
```
SiH7N2F5
1.0
6.3115 0.0000 0.0000
0.0000 7.2594 0.0000
-6.1390 0.0000 6.3106
Si H N F
2 14 4 10
Direct
0.0000 0.2281 0.0000
0.0000 0.7719 0.5000
0.0354 0.0891 0.6205
0.0354 0.9109 0.1205
0.0861 0.0929 0.4584
0.0861 0.9071 0.9584
0.3426 0.4186 0.9768
0.3426 0.5814 0.4768
0.3885 0.4202 0.3662
0.3885 0.5798 0.8662
0.5963 0.4151 0.6283
0.5963 0.5849 0.1283
0.6492 0.4172 0.0230
0.6492 0.5828 0.5230
0.7501 0.0746 0.3622
0.7501 0.9254 0.8622
0.4960 0.5000 0.4993
0.4960 0.5000 0.9993
0.9659 0.0337 0.4843
0.9659 0.9663 0.9843
0.0168 0.2239 0.8130
0.0168 0.7761 0.3130
0.0317 0.4624 0.0144
0.0317 0.5376 0.5144
0.3786 0.2075 0.1975
0.3786 0.7925 0.6975
0.6215 0.2460 0.8017
0.6215 0.7540 0.3017
0.9830 0.2293 0.1864
0.9830 0.7707 0.6864
```

The 8 most intense peaks (2θ from 10° to 90°), by intensity:
two_theta, intensity
18.6, 100
37.8, 23
19.6, 23
39.9, 21
20.2, 20
41.0, 12
24.5, 10
54.6, 9



Diffraction record for SnH3NF3. The X-ray powder pattern is simulated, not measured: it uses a crystal structure in the Materials Project, relaxed with GGA-PBE and Cu Kα, 1.54184 Å.

Structural model:
```
SnH3NF3
1.0
5.3624 -6.4818 0.0000
5.3624 6.4818 0.0000
-1.7889 0.0000 5.5624
Sn H N F
4 12 4 12
Direct
0.0916 0.2964 0.0210
0.2964 0.0916 0.5210
0.7036 0.9084 0.4790
0.9084 0.7036 0.9790
0.1584 0.6197 0.6307
0.2938 0.4870 0.6317
0.3270 0.6546 0.4989
0.3454 0.6730 0.0011
0.3803 0.8416 0.8693
0.4870 0.2938 0.1317
0.5130 0.7062 0.8683
0.6197 0.1584 0.1307
0.6546 0.3270 0.9989
0.6730 0.3454 0.5011
0.7062 0.5130 0.3683
0.8416 0.3803 0.3693
0.2849 0.6105 0.6368
0.3895 0.7151 0.8632
0.6105 0.2849 0.1368
0.7151 0.3895 0.3632
0.0089 0.3369 0.3474
0.1731 0.5571 0.0850
0.3215 0.3265 0.7666
0.3265 0.3215 0.2666
0.3369 0.0089 0.8474
0.4429 0.8269 0.4150
0.5571 0.1731 0.5850
0.6631 0.9911 0.1526
0.6735 0.6785 0.7334
0.6785 0.6735 0.2334
0.8269 0.4429 0.9150
0.9911 0.6631 0.6526
```

The 8 most intense peaks (2θ from 10° to 90°), by intensity:
two_theta, intensity
17.4, 100
21.5, 75
24.0, 69
29.1, 63
25.9, 56
17.1, 50
27.1, 37
35.6, 35